Starting from a DFT-relaxed cell (GGA-PBE, Alexandria), the powder diffraction line list of GeBi2O6 was simulated for Cu Kα, 1.54184 Å.
Kinematic intensities with the Lorentz-polarization factor, no thermal factor.

Top 10 peaks for 2θ from 15° to 90°, in order of rising 2θ:
Position (°2θ), I (rel.)
18.7, 503
20.2, 275
22.7, 659
30.5, 1000
31.8, 234
32.7, 243
34.7, 253
37.9, 225
46.3, 257
47.7, 319

a = 5.4738 Å, b = 5.6296 Å, c = 8.8094 Å
α = 90.00°, β = 90.00°, γ = 90.00°
Sites, in units of the cell vectors:
1 Ge 0.0000 0.0000 0.0000
2 Ge 0.5000 0.5000 0.5000
3 Bi 0.0000 0.5000 0.2965
4 Bi 0.0000 0.5000 0.7035
5 Bi 0.5000 0.0000 0.2035
6 Bi 0.5000 0.0000 0.7965
7 O 0.1484 0.1962 0.1592
8 O 0.1484 0.1962 0.8408
9 O 0.2010 0.3321 0.5000
10 O 0.2990 0.8321 0.0000
11 O 0.3516 0.6962 0.3408
12 O 0.3516 0.6962 0.6592
13 O 0.6484 0.3038 0.3408
14 O 0.6484 0.3038 0.6592
15 O 0.7010 0.1679 0.0000
16 O 0.7990 0.6679 0.5000
17 O 0.8516 0.8038 0.1592
18 O 0.8516 0.8038 0.8408